Computed powder X-ray diffraction pattern
Compound: V4ZnP6O24
Radiation: copper Kα
Structure: a DFT-relaxed cell (PBE+U, Alexandria)

The 10 most intense peaks (10° ≤ 2θ ≤ 90°), most intense first:
two_theta, d_spacing, I (rel.)
29.46, 3.032, 100
30.36, 2.944, 78
16.34, 5.426, 56
11.99, 7.380, 50
29.25, 3.053, 49
15.62, 5.673, 39
33.71, 2.659, 38
22.54, 3.945, 37
20.00, 4.440, 27
33.19, 2.699, 23

Cell and atoms:
Unit cell a=6.236 b=8.290 c=9.476 alpha=109.80 beta=105.96 gamma=101.52
Fractional positions:
V  0.058  0.218  0.024
V  0.371  0.976  0.615
V  0.629  0.024  0.385
V  0.942  0.782  0.976
Zn  0.000  0.500  0.500
P  0.113  0.109  0.338
P  0.212  0.663  0.255
P  0.380  0.744  0.844
P  0.620  0.256  0.156
P  0.788  0.337  0.745
P  0.887  0.891  0.662
O  0.009  0.692  0.141
O  0.078  0.044  0.152
O  0.096  0.010  0.647
O  0.150  0.308  0.409
O  0.197  0.465  0.199
O  0.213  0.733  0.433
O  0.234  0.796  0.954
O  0.254  0.556  0.712
O  0.329  0.056  0.422
O  0.370  0.230  0.040
O  0.420  0.884  0.773
O  0.450  0.780  0.262
O  0.550  0.220  0.738
O  0.580  0.116  0.227
O  0.630  0.770  0.960
O  0.671  0.944  0.578
O  0.746  0.444  0.288
O  0.766  0.204  0.046
O  0.787  0.267  0.567
O  0.803  0.535  0.801
O  0.850  0.692  0.591
O  0.904  0.990  0.353
O  0.922  0.956  0.848
O  0.991  0.308  0.859

---

Computed powder X-ray diffraction pattern
Compound: PWO5
Radiation: copper Kα
Structure: a DFT-relaxed cell (PBE+U, Alexandria)

The 10 most intense peaks (10° ≤ 2θ ≤ 90°), most intense first:
two_theta, d_spacing, I (rel.)
15.20, 5.829, 100
30.68, 2.914, 65
29.82, 2.997, 35
21.29, 4.174, 34
25.61, 3.478, 31
30.38, 2.942, 30
43.65, 2.074, 28
21.42, 4.148, 28
52.63, 1.739, 18
36.37, 2.470, 15

Cell and atoms:
Unit cell a=10.356 b=9.095 c=7.113 alpha=78.38 beta=59.34 gamma=42.28
Fractional positions:
P  0.090  0.090  0.660
P  0.340  0.340  0.910
P  0.660  0.660  0.090
P  0.910  0.910  0.340
W  0.000  0.500  0.500
W  0.500  0.000  0.500
W  0.500  0.500  0.000
W  0.500  0.500  0.500
O  0.061  0.229  0.485
O  0.134  0.438  0.153
O  0.153  0.775  0.134
O  0.225  0.847  0.562
O  0.229  0.061  0.725
O  0.275  0.515  0.771
O  0.293  0.293  0.457
O  0.438  0.134  0.775
O  0.457  0.457  0.293
O  0.485  0.725  0.061
O  0.515  0.275  0.939
O  0.543  0.543  0.707
O  0.562  0.866  0.225
O  0.707  0.707  0.543
O  0.725  0.485  0.229
O  0.771  0.939  0.275
O  0.775  0.153  0.438
O  0.847  0.225  0.866
O  0.866  0.562  0.847
O  0.939  0.771  0.515